The following is a theoretical powder XRD pattern of Pr3Mn2Sb3O14. It was derived from a GGA+U-relaxed structure, using CuKα.
Intensities are scaled so that the largest is 100.

Principal peaks in the range 5° ≤ 2θ ≤ 70°, most intense first:
2θ (°)	d [Å]	I/Imax
28.89	3.091	100
33.82	2.651	41
47.81	1.902	34
30.04	2.974	31
49.33	1.847	29
57.51	1.603	27
56.83	1.620	15
58.85	1.569	13
16.72	5.301	11
59.84	1.545	10

Crystal structure
```
data_Pr3Mn2Sb3O14
_cell_length_a 7.6094
_cell_length_b 7.6094
_cell_length_c 17.8463
_cell_angle_alpha 90.00
_cell_angle_beta 90.00
_cell_angle_gamma 120.00
_space_group_name_H-M_alt 'R -3 m'
_space_group_IT_number 166
_space_group_name_Hall '-R 3 2"'
loop_
_atom_site_label
_atom_site_type_symbol
_atom_site_fract_x
_atom_site_fract_y
_atom_site_fract_z
Pr1 Pr 0.0000 0.5000 0.0000
Mn1 Mn 0.0000 0.0000 0.0000
Mn2 Mn 0.0000 0.0000 0.5000
Sb1 Sb 0.0000 0.5000 0.5000
O1 O 0.0000 0.0000 0.3851
O2 O 0.0372 0.5186 0.6094
O3 O 0.0679 0.5340 0.8534
```